Starting from a structure optimized by DFT (GGA-PBE), the powder diffraction line list of Nd8CdIn2 was simulated for Cu Kα X-rays.

Atomic structure:
```
data_Nd8CdIn2
_chemical_formula_sum 'Nd16 Cd2 In4'
_space_group_name_H-M_alt 'I m m m'
_space_group_IT_number 71
_space_group_name_Hall '-I 2 2'
_cell_length_a 5.2528
_cell_length_b 8.8499
_cell_length_c 15.1302
_cell_angle_alpha 90.00
_cell_angle_beta 90.00
_cell_angle_gamma 90.00
loop_
_atom_site_label
_atom_site_type_symbol
_atom_site_fract_x
_atom_site_fract_y
_atom_site_fract_z
_atom_site_occupancy
Nd1 Nd 0.0000 0.0000 0.1412 1
Nd2 Nd 0.0000 0.2214 0.3416 1
Nd3 Nd 0.0000 0.3163 0.0000 1
Cd1 Cd 0.0000 0.5000 0.5000 1
In1 In 0.0000 0.5000 0.1950 1
```

Most intense lines, 10° ≤ 2θ ≤ 80°, in order of rising 2θ:
index	2theta	I (rel.)
0 3 1	30.85	38
1 2 3	31.84	100
2 0 0	34.14	29
0 0 6	35.60	17
0 4 0	40.78	8
2 3 1	46.69	9
2 0 6	50.15	13
0 3 7	52.48	8
2 4 0	54.21	7
3 2 3	59.68	16
1 5 4	60.36	9
2 3 7	64.11	9

***

Starting from a structure optimized by DFT (GGA-PBE), the powder diffraction line list of PmNd2Cd2In2 was simulated for Cu Kα X-rays.

Atomic structure:
```
data_PmNd2Cd2In2
_chemical_formula_sum 'Pm3 Nd6 Cd6 In6'
_space_group_name_H-M_alt 'R -3 m'
_space_group_IT_number 166
_space_group_name_Hall '-R 3 2"'
_cell_length_a 4.9938
_cell_length_b 4.9938
_cell_length_c 27.7152
_cell_angle_alpha 90.00
_cell_angle_beta 90.00
_cell_angle_gamma 120.00
loop_
_atom_site_label
_atom_site_type_symbol
_atom_site_fract_x
_atom_site_fract_y
_atom_site_fract_z
_atom_site_occupancy
Pm1 Pm 0.0000 0.0000 0.0000 1
Nd1 Nd 0.0000 0.0000 0.1284 1
Cd1 Cd 0.0000 0.0000 0.3975 1
In1 In 0.0000 0.0000 0.2624 1
```

Most intense lines, 10° ≤ 2θ ≤ 80°, in order of rising 2θ:
index	2theta	I (rel.)
1 0 1	20.79	10
1 0 7	30.61	57
0 1 8	33.13	80
1 1 0	35.97	100
0 2 7	47.94	16
0 0 15	49.32	12
2 0 8	49.70	25
2 1 7	61.36	15
1 1 15	62.54	34
1 2 8	62.86	25
3 0 0	64.66	18
2 2 0	76.27	11

***

Starting from a structure optimized by DFT (GGA-PBE), the powder diffraction line list of Nd2SmCd2In2 was simulated for Cu Kα X-rays.

Atomic structure:
```
data_Nd2SmCd2In2
_chemical_formula_sum 'Nd6 Sm3 Cd6 In6'
_space_group_name_H-M_alt 'R -3 m'
_space_group_IT_number 166
_space_group_name_Hall '-R 3 2"'
_cell_length_a 4.9879
_cell_length_b 4.9879
_cell_length_c 27.6796
_cell_angle_alpha 90.00
_cell_angle_beta 90.00
_cell_angle_gamma 120.00
loop_
_atom_site_label
_atom_site_type_symbol
_atom_site_fract_x
_atom_site_fract_y
_atom_site_fract_z
_atom_site_occupancy
Nd1 Nd 0.0000 0.0000 0.1282 1
Sm1 Sm 0.0000 0.0000 0.0000 1
Cd1 Cd 0.0000 0.0000 0.3966 1
In1 In 0.0000 0.0000 0.2627 1
```

Most intense lines, 10° ≤ 2θ ≤ 80°, in order of rising 2θ:
index	2theta	I (rel.)
1 0 1	20.81	11
1 0 7	30.65	56
0 1 8	33.17	82
1 1 0	36.01	100
0 2 7	48.00	16
0 0 15	49.39	12
2 0 8	49.77	26
2 1 7	61.44	15
1 1 15	62.62	34
1 2 8	62.95	25
3 0 0	64.74	17
2 2 0	76.38	11

***

Starting from a structure optimized by DFT (GGA-PBE), the powder diffraction line list of Cd4InNi was simulated for Cu Kα X-rays.

Atomic structure:
```
data_Cd4InNi
_chemical_formula_sum 'Cd16 In4 Ni4'
_space_group_name_H-M_alt 'F -4 3 m'
_space_group_IT_number 216
_space_group_name_Hall 'F -4 2 3'
_cell_length_a 8.0477
_cell_length_b 8.0477
_cell_length_c 8.0477
_cell_angle_alpha 90.00
_cell_angle_beta 90.00
_cell_angle_gamma 90.00
loop_
_atom_site_label
_atom_site_type_symbol
_atom_site_fract_x
_atom_site_fract_y
_atom_site_fract_z
_atom_site_occupancy
Cd1 Cd 0.1244 0.1244 0.3756 1
In1 In 0.0000 0.0000 0.0000 1
Ni1 Ni 0.2500 0.2500 0.7500 1
```

Most intense lines, 10° ≤ 2θ ≤ 80°, in order of rising 2θ:
index	2theta	I (rel.)
1 1 1	19.10	15
2 2 0	31.44	20
3 1 1	37.05	100
2 2 2	38.76	48
4 0 0	45.06	8
3 3 1	49.36	4
4 2 2	55.98	7
5 1 1	59.70	31
4 4 0	65.63	28
6 2 0	74.58	3
5 3 3	77.83	11
6 2 2	78.90	17